[1]
Starting from DFT lattice parameters and positions (PBE), the PXRD pattern of Nd2TmMg3Pt2Au was calculated for λ = 1.5418 Å (Cu Kα).
No peak broadening, texture or thermal motion is included.

Structural model:
```
data_Nd2TmMg3Pt2Au
_chemical_formula_sum 'Nd4 Tm2 Mg6 Pt4 Au2'
_space_group_name_H-M_alt 'A m m 2'
_space_group_IT_number 38
_cell_length_a 4.083
_cell_length_b 13.005
_cell_length_c 7.568
_cell_angle_alpha 90.00
_cell_angle_beta 90.00
_cell_angle_gamma 90.00
loop_
_space_group_symop_operation_xyz
'x,y,z'
'-x,-y,z'
'-x,y,z'
'x,-y,z'
'x,y+1/2,z+1/2'
'-x,-y+1/2,z+1/2'
'-x,y+1/2,z+1/2'
'x,-y+1/2,z+1/2'
loop_
_atom_site_label
_atom_site_type_symbol
_atom_site_fract_x
_atom_site_fract_y
_atom_site_fract_z
_atom_site_occupancy
Nd1 Nd 0.000 0.209 0.000 1
Tm1 Tm 0.000 0.000 0.623 1
Mg1 Mg 0.500 0.000 0.957 1
Mg2 Mg 0.500 0.122 0.335 1
Pt1 Pt 0.500 0.160 0.705 1
Au1 Au 0.000 0.000 0.216 1
```

Top 6 peaks for 2θ from 15° to 90°, in order of rising 2θ:
2θ/deg  d (Å)  I/Imax  (hkl)
23.65  3.762  52  0 3 1
25.74  3.462  45  1 1 1
32.36  2.766  66  1 3 1
35.16  2.553  100  1 2 2
35.29  2.543  65  1 4 0
41.41  2.180  39  0 3 3

[2]
Starting from DFT lattice parameters and positions (PBE), the PXRD pattern of NdMgTe3Au was calculated for λ = 1.5418 Å (Cu Kα).
No peak broadening, texture or thermal motion is included.

Structural model:
```
data_NdMgTe3Au
_chemical_formula_sum 'Nd4 Mg4 Te12 Au4'
_space_group_name_H-M_alt 'P n m a'
_space_group_IT_number 62
_cell_length_a 12.775
_cell_length_b 4.374
_cell_length_c 12.945
_cell_angle_alpha 90.00
_cell_angle_beta 90.00
_cell_angle_gamma 90.00
loop_
_space_group_symop_operation_xyz
'x,y,z'
'-x,-y,-z'
'-x+1/2,-y,z+1/2'
'x+1/2,y,-z+1/2'
'x+1/2,-y+1/2,-z+1/2'
'-x+1/2,y+1/2,z+1/2'
'-x,y+1/2,-z'
'x,-y+1/2,z'
loop_
_atom_site_label
_atom_site_type_symbol
_atom_site_fract_x
_atom_site_fract_y
_atom_site_fract_z
_atom_site_occupancy
Nd1 Nd 0.036 0.250 0.186 1
Mg1 Mg 0.249 0.750 0.871 1
Te1 Te 0.067 0.750 0.366 1
Te2 Te 0.108 0.250 0.940 1
Te3 Te 0.173 0.750 0.652 1
Au1 Au 0.225 0.750 0.221 1
```

Top 6 peaks for 2θ from 15° to 90°, in order of rising 2θ:
2θ/deg  d (Å)  I/Imax  (hkl)
25.61  3.479  57  2 1 1
28.45  3.137  61  1 0 4
30.09  2.970  82  3 1 1
32.34  2.768  100  2 1 3
32.44  2.760  93  3 1 2
41.28  2.187  71  0 2 0

[3]
Starting from DFT lattice parameters and positions (PBE), the PXRD pattern of NdYMg2Au4 was calculated for λ = 1.5418 Å (Cu Kα).
No peak broadening, texture or thermal motion is included.

Structural model:
```
data_NdYMg2Au4
_chemical_formula_sum 'Nd1 Y1 Mg2 Au4'
_space_group_name_H-M_alt 'P 4/m m m'
_space_group_IT_number 123
_space_group_name_Hall '-P 4 2'
_cell_length_a 4.956
_cell_length_b 4.956
_cell_length_c 6.997
_cell_angle_alpha 90.00
_cell_angle_beta 90.00
_cell_angle_gamma 90.00
loop_
_atom_site_label
_atom_site_type_symbol
_atom_site_fract_x
_atom_site_fract_y
_atom_site_fract_z
_atom_site_occupancy
Nd1 Nd 0.000 0.000 0.000 1
Y1 Y 0.500 0.500 0.500 1
Mg1 Mg 0.000 0.000 0.500 1
Mg2 Mg 0.500 0.500 0.000 1
Au1 Au 0.000 0.500 0.259 1
```

Top 6 peaks for 2θ from 15° to 90°, in order of rising 2θ:
2θ/deg  d (Å)  I/Imax  (hkl)
25.43  3.502  27  1 1 0
36.28  2.476  100  2 0 0
52.24  1.751  18  2 2 0
65.26  1.430  36  3 1 2
77.01  1.238  11  4 0 0
88.18  1.108  11  4 2 0

[4]
Starting from DFT lattice parameters and positions (PBE), the PXRD pattern of MgAu2S4O16 was calculated for λ = 1.5418 Å (Cu Kα).
No peak broadening, texture or thermal motion is included.

Structural model:
```
data_MgAu2S4O16
_chemical_formula_sum 'Mg8 Au16 S32 O128'
_space_group_name_H-M_alt 'F d d 2'
_space_group_IT_number 43
_space_group_name_Hall 'F 2 -2d'
_cell_length_a 14.443
_cell_length_b 16.288
_cell_length_c 10.260
_cell_angle_alpha 90.00
_cell_angle_beta 90.00
_cell_angle_gamma 90.00
loop_
_atom_site_label
_atom_site_type_symbol
_atom_site_fract_x
_atom_site_fract_y
_atom_site_fract_z
_atom_site_occupancy
Mg1 Mg 0.000 0.000 0.000 1
Au1 Au 0.094 0.123 0.552 1
S1 S 0.056 0.128 0.259 1
S2 S 0.113 0.382 0.100 1
O1 O 0.030 0.320 0.779 1
O2 O 0.031 0.322 0.077 1
O3 O 0.051 0.075 0.148 1
O4 O 0.057 0.079 0.873 1
O5 O 0.065 0.071 0.376 1
O6 O 0.093 0.445 0.194 1
O7 O 0.119 0.437 0.507 1
O8 O 0.124 0.179 0.721 1
```

Top 6 peaks for 2θ from 15° to 90°, in order of rising 2θ:
2θ/deg  d (Å)  I/Imax  (hkl)
19.49  4.554  79  1 3 1
21.83  4.072  100  0 4 0
27.01  3.301  48  4 2 0
27.35  3.261  50  1 1 3
31.53  2.837  55  1 3 3
32.64  2.743  51  5 1 1

[5]
Starting from DFT lattice parameters and positions (PBE), the PXRD pattern of Pr2TmMg3Pt2Au was calculated for λ = 1.5418 Å (Cu Kα).
No peak broadening, texture or thermal motion is included.

Structural model:
```
data_Pr2TmMg3Pt2Au
_chemical_formula_sum 'Pr4 Tm2 Mg6 Pt4 Au2'
_space_group_name_H-M_alt 'A m m 2'
_space_group_IT_number 38
_cell_length_a 4.103
_cell_length_b 13.057
_cell_length_c 7.580
_cell_angle_alpha 90.00
_cell_angle_beta 90.00
_cell_angle_gamma 90.00
loop_
_space_group_symop_operation_xyz
'x,y,z'
'-x,-y,z'
'-x,y,z'
'x,-y,z'
'x,y+1/2,z+1/2'
'-x,-y+1/2,z+1/2'
'-x,y+1/2,z+1/2'
'x,-y+1/2,z+1/2'
loop_
_atom_site_label
_atom_site_type_symbol
_atom_site_fract_x
_atom_site_fract_y
_atom_site_fract_z
_atom_site_occupancy
Pr1 Pr 0.000 0.209 0.000 1
Tm1 Tm 0.000 0.000 0.623 1
Mg1 Mg 0.500 0.000 0.958 1
Mg2 Mg 0.500 0.122 0.336 1
Pt1 Pt 0.500 0.158 0.703 1
Au1 Au 0.000 0.000 0.217 1
```

Top 6 peaks for 2θ from 15° to 90°, in order of rising 2θ:
2θ/deg  d (Å)  I/Imax  (hkl)
23.53  3.780  50  0 0 2
25.62  3.477  27  1 1 1
32.21  2.780  56  1 3 1
35.08  2.558  100  1 4 0
41.32  2.185  23  0 3 3
42.64  2.120  30  1 4 2

[6]
Starting from DFT lattice parameters and positions (PBE), the PXRD pattern of PrMgAuSeS2 was calculated for λ = 1.5418 Å (Cu Kα).
No peak broadening, texture or thermal motion is included.

Structural model:
```
data_PrMgAuSeS2
_chemical_formula_sum 'Pr4 Mg4 Au4 Se4 S8'
_space_group_name_H-M_alt 'C m c m'
_space_group_IT_number 63
_space_group_name_Hall '-C 2c 2'
_cell_length_a 3.854
_cell_length_b 13.149
_cell_length_c 10.938
_cell_angle_alpha 90.00
_cell_angle_beta 90.00
_cell_angle_gamma 90.00
loop_
_atom_site_label
_atom_site_type_symbol
_atom_site_fract_x
_atom_site_fract_y
_atom_site_fract_z
_atom_site_occupancy
Pr1 Pr 0.000 0.000 0.000 1
Mg1 Mg 0.000 0.211 0.250 1
Au1 Au 0.000 0.482 0.750 1
Se1 Se 0.000 0.124 0.750 1
S1 S 0.000 0.353 0.583 1
```

Top 6 peaks for 2θ from 15° to 90°, in order of rising 2θ:
2θ/deg  d (Å)  I/Imax  (hkl)
29.15  3.063  56  1 1 2
31.99  2.798  16  1 3 1
32.75  2.734  27  0 0 4
35.08  2.558  100  1 3 2
35.56  2.525  27  0 2 4
44.90  2.019  33  1 5 2